No. 1
Starting from a cell relaxed with PBE, the PXRD pattern of Ba2ZnSe3 was computed for Cu Kα (weighted mean of Kα1 and Kα2).
No peak broadening, texture or thermal motion is included.

Atomic structure:
Cell lengths 9.251, 4.472, 17.915 Å; angles 90.00, 90.00, 90.00 degrees
Atoms (fractional coordinates):
Ba: 0.081 0.250 0.213
Ba: 0.249 0.250 0.957
Ba: 0.251 0.750 0.457
Ba: 0.419 0.750 0.713
Ba: 0.581 0.250 0.287
Ba: 0.749 0.250 0.543
Ba: 0.751 0.750 0.043
Ba: 0.919 0.750 0.787
Zn: 0.136 0.250 0.635
Zn: 0.364 0.750 0.135
Zn: 0.636 0.250 0.865
Zn: 0.864 0.750 0.365
Se: 0.005 0.750 0.601
Se: 0.125 0.750 0.071
Se: 0.182 0.250 0.773
Se: 0.318 0.750 0.273
Se: 0.375 0.250 0.571
Se: 0.495 0.250 0.101
Se: 0.505 0.750 0.899
Se: 0.625 0.750 0.429
Se: 0.682 0.250 0.727
Se: 0.818 0.750 0.227
Se: 0.875 0.250 0.929
Se: 0.995 0.250 0.399

Main lines, most intense first (2θ = 10–80°):
2θ 28.20, rel. 100.0; 2θ 29.52, rel. 95.5; 2θ 29.86, rel. 85.9; 2θ 40.33, rel. 84.2; 2θ 26.68, rel. 55.6; 2θ 33.48, rel. 53.3; 2θ 27.74, rel. 47.6; 2θ 30.66, rel. 45.4; 2θ 24.87, rel. 42.7; 2θ 37.58, rel. 40.3; 2θ 35.72, rel. 36.0; 2θ 41.84, rel. 30.3

***

No. 2
Starting from a cell relaxed with PBE, the PXRD pattern of MgTe4MoW3S4 was computed for Cu Kα (weighted mean of Kα1 and Kα2).
No peak broadening, texture or thermal motion is included.

Atomic structure:
Cell lengths 3.362, 3.362, 43.886 Å; angles 90.12, 90.12, 60.00 degrees
Atoms (fractional coordinates):
Mg: 0.000 0.000 0.000
Te: 0.000 0.000 0.239
Te: 0.001 0.001 0.325
Te: 0.667 0.667 0.675
Te: 0.668 0.668 0.762
Mo: 0.667 0.667 0.282
W: 0.001 0.001 0.719
W: 0.667 0.667 0.902
W: 0.999 0.999 0.102
S: 0.000 0.000 0.868
S: 0.001 0.001 0.937
S: 0.665 0.665 0.067
S: 0.667 0.667 0.136

Main lines, most intense first (2θ = 10–80°):
2θ 10.08, rel. 100.0; 2θ 34.90, rel. 32.0; 2θ 40.92, rel. 29.2; 2θ 30.73, rel. 27.2; 2θ 12.10, rel. 19.3; 2θ 37.06, rel. 17.8; 2θ 54.60, rel. 15.3; 2θ 32.40, rel. 10.4; 2θ 55.68, rel. 8.4; 2θ 34.85, rel. 7.6; 2θ 18.19, rel. 7.2; 2θ 42.37, rel. 7.1

***

No. 3
Starting from a cell relaxed with PBE, the PXRD pattern of CaB3O8 was computed for Cu Kα (weighted mean of Kα1 and Kα2).
No peak broadening, texture or thermal motion is included.

Atomic structure:
Cell lengths 6.316, 11.732, 8.725 Å; angles 90.00, 113.52, 90.00 degrees
Atoms (fractional coordinates):
Ca: 0.162 0.229 0.107
Ca: 0.162 0.271 0.607
Ca: 0.838 0.729 0.393
Ca: 0.838 0.771 0.893
B: 0.122 0.552 0.802
B: 0.122 0.948 0.302
B: 0.282 0.697 0.668
B: 0.282 0.803 0.168
B: 0.434 0.688 0.980
B: 0.434 0.812 0.480
B: 0.566 0.188 0.520
B: 0.566 0.312 0.020
B: 0.718 0.197 0.832
B: 0.718 0.303 0.332
B: 0.878 0.052 0.698
B: 0.878 0.448 0.198
O: 0.062 0.077 0.646
O: 0.062 0.423 0.146
O: 0.095 0.066 0.247
O: 0.095 0.434 0.747
O: 0.101 0.626 0.658
O: 0.101 0.874 0.158
O: 0.270 0.736 0.517
O: 0.270 0.764 0.017
O: 0.330 0.574 0.954
O: 0.330 0.926 0.454
O: 0.332 0.202 0.396
O: 0.332 0.298 0.896
O: 0.446 0.729 0.819
O: 0.446 0.771 0.319
O: 0.466 0.010 0.055
O: 0.466 0.490 0.555
O: 0.534 0.510 0.445
O: 0.534 0.990 0.945
O: 0.554 0.229 0.681
O: 0.554 0.271 0.181
O: 0.668 0.702 0.104
O: 0.668 0.798 0.604
O: 0.670 0.074 0.546
O: 0.670 0.426 0.046
O: 0.730 0.236 0.983
O: 0.730 0.264 0.483
O: 0.899 0.126 0.842
O: 0.899 0.374 0.342
O: 0.905 0.566 0.253
O: 0.905 0.934 0.753
O: 0.938 0.577 0.854
O: 0.938 0.923 0.354

Main lines, most intense first (2θ = 10–80°):
2θ 26.27, rel. 100.0; 2θ 15.10, rel. 96.6; 2θ 27.28, rel. 87.0; 2θ 31.85, rel. 72.9; 2θ 23.51, rel. 70.1; 2θ 16.70, rel. 45.1; 2θ 34.53, rel. 37.3; 2θ 43.87, rel. 33.9; 2θ 42.21, rel. 31.4; 2θ 30.48, rel. 30.8; 2θ 49.32, rel. 30.4; 2θ 47.81, rel. 29.5